[1]
This entry pairs a crystal structure of LiPm2Nd2Au4 with its theoretical PXRD pattern. Radiation: Cu Kα (weighted mean of Kα1 and Kα2). Structure: a PBE-relaxed structure.

Most intense lines, 2θ = 5–70°, low angle first:
20.71°, rel. 39
32.58°, rel. 1000
33.76°, rel. 50
35.45°, rel. 460
42.15°, rel. 90
42.38°, rel. 36
49.55°, rel. 47
51.01°, rel. 164
56.22°, rel. 154
56.41°, rel. 32
61.84°, rel. 319
68.23°, rel. 104

Lattice parameters (Å, degrees): 6.6357 6.6357 6.6357 114.68 114.68 99.49
Atoms (fractional coordinates):
Li  0.0000  0.0000  0.0000
Pm  0.3119  0.3119  0.0000
Pm  0.6881  0.6881  0.0000
Nd  0.2500  0.7500  0.5000
Nd  0.7500  0.2500  0.5000
Au  0.2446  0.2446  0.4892
Au  0.2446  0.7554  0.0000
Au  0.7554  0.2446  0.0000
Au  0.7554  0.7554  0.5108


[2]
This entry pairs a crystal structure of Er4Sb2Ru with its theoretical PXRD pattern. Radiation: Cu Kα (weighted mean of Kα1 and Kα2). Structure: a PBE-relaxed structure.

Most intense lines, 2θ = 5–70°, low angle first:
27.61°, rel. 232
27.91°, rel. 1000
28.45°, rel. 517
29.03°, rel. 135
33.01°, rel. 176
37.54°, rel. 635
38.02°, rel. 189
38.95°, rel. 313
40.80°, rel. 343
42.86°, rel. 521
50.48°, rel. 247
57.68°, rel. 198

Lattice parameters (Å, degrees): 14.1134 4.4237 7.2038 90.00 119.41 90.00
Atoms (fractional coordinates):
Er  0.0948  0.0000  0.2838
Er  0.1194  0.5000  0.7611
Er  0.3806  0.0000  0.2389
Er  0.4052  0.5000  0.7162
Er  0.5948  0.5000  0.2838
Er  0.6194  0.0000  0.7611
Er  0.8806  0.5000  0.2389
Er  0.9052  0.0000  0.7162
Sb  0.2306  0.5000  0.2342
Sb  0.2694  0.0000  0.7658
Sb  0.7306  0.0000  0.2342
Sb  0.7694  0.5000  0.7658
Ru  0.0000  0.5000  0.0000
Ru  0.5000  0.0000  0.0000


[3]
This entry pairs a crystal structure of Ho3ZnIn3 with its theoretical PXRD pattern. Radiation: Cu Kα (weighted mean of Kα1 and Kα2). Structure: a PBE-relaxed structure.

Most intense lines, 2θ = 5–70°, low angle first:
30.32°, rel. 455
30.97°, rel. 359
30.99°, rel. 1000
32.12°, rel. 506
35.56°, rel. 302
37.57°, rel. 781
38.51°, rel. 339
39.20°, rel. 672
51.55°, rel. 270
56.12°, rel. 223
61.55°, rel. 194
65.97°, rel. 157

Lattice parameters (Å, degrees): 6.0363 6.0363 14.8266 107.39 107.39 44.76
Atoms (fractional coordinates):
Ho  0.0367  0.0367  0.3829
Ho  0.0973  0.0973  0.9191
Ho  0.2365  0.2365  0.2240
Ho  0.7635  0.7635  0.7760
Ho  0.9027  0.9027  0.0809
Ho  0.9633  0.9633  0.6171
Zn  0.2572  0.2572  0.6160
Zn  0.7428  0.7428  0.3840
In  0.3612  0.3612  0.4549
In  0.3779  0.3779  0.9259
In  0.4768  0.4768  0.7650
In  0.5232  0.5232  0.2350
In  0.6221  0.6221  0.0741
In  0.6388  0.6388  0.5451


- Which formula does entry 2 have?
  Er4Sb2Ru